Structure and computed PXRD pattern of Sn3Sb2Pd7 (a GGA-PBE-relaxed structure; Cu Kα, 1.54184 Å).
Lines closer than 0.1° are merged.

Peak list (6 most intense, 2θ from 5° to 70°, by angle)
| Position (°2θ) | I (rel.) | (hkl) |
| --- | --- | --- |
| 36.60 | 40 | 2 0 0 |
| 37.29 | 38 | 0 0 2 |
| 41.14 | 100 | 1 7 1 |
| 53.25 | 27 | 2 0 2 |
| 68.98 | 21 | 3 7 1 |
| 69.87 | 21 | 1 7 3 |

Cell: 4.910 19.938 4.823 Å, 90.00 90.00 90.00°
Space group Cmmm (No. 65)
Inequivalent atoms, fractional coordinates:
Sn  0.000  0.000  0.000
Sn  0.000  0.163  0.000
Sb  0.000  0.355  0.500
Pd  0.000  0.073  0.500
Pd  0.000  0.219  0.500
Pd  0.000  0.423  0.000
Pd  0.000  0.500  0.500